# 1
Theoretical PXRD pattern of BAs3F for Cu Kα X-rays, from the GGA-PBE geometry in Alexandria.
No peak broadening, texture or thermal motion is included.

Principal peaks in the range 2θ from 10° to 80°, most intense first:
- 35.55°, d 2.525, rel. 1000, hkl 1 1 1
- 41.28°, d 2.187, rel. 554, hkl 2 0 0
- 71.54°, d 1.319, rel. 368, hkl 3 1 1
- 59.80°, d 1.546, rel. 355, hkl 2 2 0
- 20.30°, d 4.374, rel. 234, hkl 1 0 0
- 75.26°, d 1.263, rel. 118, hkl 2 2 2
- 46.42°, d 1.956, rel. 103, hkl 2 1 0
- 28.87°, d 3.093, rel. 102, hkl 1 1 0
- 63.84°, d 1.458, rel. 51, hkl 3 0 0
- 51.15°, d 1.786, rel. 49, hkl 2 1 1
- 78.91°, d 1.213, rel. 24, hkl 3 2 0
- 67.75°, d 1.383, rel. 23, hkl 3 1 0

Crystal structure
```
5
Lattice="4.374 0.000 0.000 0.000 4.374 0.000 0.000 0.000 4.374" Properties=species:S:1:pos:R:3 pbc="T T T"
B 0.000 0.000 0.000
As 0.000 0.000 2.187
As 0.000 2.187 0.000
As 2.187 0.000 0.000
F 2.187 2.187 2.187
```



# 2
Theoretical PXRD pattern of ZrTl2Te for Cu Kα X-rays, from the GGA-PBE geometry in Alexandria.
No peak broadening, texture or thermal motion is included.

Principal peaks in the range 2θ from 10° to 80°, most intense first:
- 32.26°, d 2.775, rel. 1000, hkl 0 1 2
- 34.98°, d 2.565, rel. 647, hkl 1 1 0
- 32.50°, d 2.755, rel. 331, hkl 1 0 2
- 26.64°, d 3.346, rel. 225, hkl 1 0 -1
- 60.93°, d 1.520, rel. 215, hkl 1 2 -2
- 31.29°, d 2.859, rel. 145, hkl 0 0 3
- 50.22°, d 1.817, rel. 117, hkl 0 2 0
- 50.39°, d 1.811, rel. 116, hkl 2 0 0
- 61.10°, d 1.517, rel. 109, hkl 1 2 2
- 61.30°, d 1.512, rel. 109, hkl 2 1 2
- 42.14°, d 2.144, rel. 96, hkl 0 0 4
- 47.47°, d 1.915, rel. 94, hkl 1 1 -3

Crystal structure
```
4
Lattice="3.622 0.000 0.000 0.000 3.634 0.000 -0.077 0.000 8.577" Properties=species:S:1:pos:R:3 pbc="T T T"
Zr 0.000 0.000 0.000
Tl -0.027 0.000 4.385
Tl 1.799 1.817 2.034
Te 1.735 1.817 7.123
```



Repeat the second record exactly.
Theoretical PXRD pattern of ZrTl2Te for Cu Kα X-rays, from the GGA-PBE geometry in Alexandria.
No peak broadening, texture or thermal motion is included.

Principal peaks in the range 2θ from 10° to 80°, most intense first:
- 32.26°, d 2.775, rel. 1000, hkl 0 1 2
- 34.98°, d 2.565, rel. 647, hkl 1 1 0
- 32.50°, d 2.755, rel. 331, hkl 1 0 2
- 26.64°, d 3.346, rel. 225, hkl 1 0 -1
- 60.93°, d 1.520, rel. 215, hkl 1 2 -2
- 31.29°, d 2.859, rel. 145, hkl 0 0 3
- 50.22°, d 1.817, rel. 117, hkl 0 2 0
- 50.39°, d 1.811, rel. 116, hkl 2 0 0
- 61.10°, d 1.517, rel. 109, hkl 1 2 2
- 61.30°, d 1.512, rel. 109, hkl 2 1 2
- 42.14°, d 2.144, rel. 96, hkl 0 0 4
- 47.47°, d 1.915, rel. 94, hkl 1 1 -3

Crystal structure
```
4
Lattice="3.622 0.000 0.000 0.000 3.634 0.000 -0.077 0.000 8.577" Properties=species:S:1:pos:R:3 pbc="T T T"
Zr 0.000 0.000 0.000
Tl -0.027 0.000 4.385
Tl 1.799 1.817 2.034
Te 1.735 1.817 7.123
```